CuOs2Pt: computed XRD peak list (a wavelength of 1.5418 Å), based on a DFT-relaxed cell (GGA-PBE, Alexandria).
Intensities are scaled so that the largest is 100.

Top 10 peaks for 2θ from 10° to 90°, by angle:
d/Å  two_theta  I_rel
4.433  20.0  8
2.223  40.6  100
2.216  40.7  34
1.950  46.6  21
1.911  47.6  43
1.366  68.7  12
1.364  68.8  14
1.172  82.3  12
1.156  83.7  17
1.153  84.0  9

Crystal structure
```
data_CuOs2Pt
_chemical_formula_sum 'Cu2 Os4 Pt2'
_space_group_name_H-M_alt 'C 1 m 1'
_space_group_IT_number 8
_space_group_name_Hall 'C -2y'
_cell_length_a 8.9759
_cell_length_b 2.7077
_cell_length_c 4.7471
_cell_angle_alpha 90.00
_cell_angle_beta 99.00
_cell_angle_gamma 90.00
loop_
_atom_site_label
_atom_site_fract_x
_atom_site_fract_y
_atom_site_fract_z
_atom_site_occupancy
Cu1 0.0000 0.0000 0.0000 1
Os1 0.0023 0.5000 0.5205 1
Os2 0.2463 0.0000 0.7196 1
Pt1 0.2517 0.5000 0.2178 1
```